For Tb8PmNd2, the PBE geometry in Alexandria gives the theoretical X-ray diffraction stick pattern in this record (Cu Kα, 1.54184 Å).
Neutral-atom scattering factors, no anomalous dispersion.

Largest 10 diffraction maxima, low angle first, 2θ = 15–90°:
| two_theta | I/Imax |
| --- | --- |
| 30.5 | 100 |
| 35.4 | 51 |
| 50.9 | 36 |
| 60.5 | 43 |
| 63.5 | 12 |
| 74.7 | 2 |
| 74.8 | 2 |
| 82.9 | 18 |
| 85.5 | 12 |
| 85.6 | 4 |

Structural model:
a b c (Å): 9.494 9.494 8.034
angles (deg): 104.73 104.73 31.03
Fractional coordinates of all 11 atoms:
Tb (0.045, 0.045, 0.227)
Tb (0.136, 0.136, 0.680)
Tb (0.318, 0.318, 0.592)
Tb (0.410, 0.410, 0.045)
Tb (0.590, 0.590, 0.955)
Tb (0.682, 0.682, 0.408)
Tb (0.864, 0.864, 0.320)
Tb (0.955, 0.955, 0.773)
Pm (0.500, 0.500, 0.500)
Nd (0.227, 0.227, 0.137)
Nd (0.773, 0.773, 0.863)

=====

For Tb4Pm2Nd, the PBE geometry in Alexandria gives the theoretical X-ray diffraction stick pattern in this record (Cu Kα, 1.54184 Å).
Neutral-atom scattering factors, no anomalous dispersion.

Largest 10 diffraction maxima, low angle first, 2θ = 15–90°:
| two_theta | I/Imax |
| --- | --- |
| 29.7 | 25 |
| 31.1 | 100 |
| 32.4 | 30 |
| 32.7 | 30 |
| 41.3 | 10 |
| 47.5 | 13 |
| 51.2 | 9 |
| 57.0 | 12 |
| 61.1 | 19 |
| 61.9 | 9 |

Structural model:
a b c (Å): 8.649 8.649 8.862
angles (deg): 118.96 118.96 23.80
Fractional coordinates of all 7 atoms:
Tb (0.145, 0.145, 0.343)
Tb (0.207, 0.207, 0.793)
Tb (0.793, 0.793, 0.207)
Tb (0.855, 0.855, 0.657)
Pm (0.431, 0.431, 0.072)
Pm (0.569, 0.569, 0.928)
Nd (0.500, 0.500, 0.500)

=====

For Tb4PmNd4, the PBE geometry in Alexandria gives the theoretical X-ray diffraction stick pattern in this record (Cu Kα, 1.54184 Å).
Neutral-atom scattering factors, no anomalous dispersion.

Largest 10 diffraction maxima, low angle first, 2θ = 15–90°:
| two_theta | I/Imax |
| --- | --- |
| 30.2 | 100 |
| 35.0 | 51 |
| 50.3 | 36 |
| 59.8 | 36 |
| 59.9 | 7 |
| 62.8 | 12 |
| 73.9 | 4 |
| 81.9 | 15 |
| 84.5 | 11 |
| 84.6 | 5 |

Structural model:
a b c (Å): 6.273 6.273 10.882
angles (deg): 106.77 106.77 48.27
Fractional coordinates of all 9 atoms:
Tb (0.166, 0.166, 0.054)
Tb (0.169, 0.169, 0.725)
Tb (0.831, 0.831, 0.275)
Tb (0.834, 0.834, 0.946)
Pm (0.500, 0.500, 0.500)
Nd (0.166, 0.166, 0.388)
Nd (0.499, 0.499, 0.166)
Nd (0.501, 0.501, 0.834)
Nd (0.834, 0.834, 0.612)

=====

For Tb4PmNd3, the PBE geometry in Alexandria gives the theoretical X-ray diffraction stick pattern in this record (Cu Kα, 1.54184 Å).
Neutral-atom scattering factors, no anomalous dispersion.

Largest 10 diffraction maxima, low angle first, 2θ = 15–90°:
| two_theta | I/Imax |
| --- | --- |
| 28.1 | 24 |
| 30.7 | 25 |
| 32.1 | 100 |
| 42.1 | 16 |
| 49.7 | 7 |
| 49.8 | 13 |
| 55.5 | 21 |
| 59.6 | 8 |
| 59.7 | 15 |
| 60.4 | 11 |

Structural model:
a b c (Å): 11.643 7.340 6.334
angles (deg): 90.00 90.00 90.00
Fractional coordinates of all 16 atoms:
Tb (0.000, 0.122, 0.000)
Tb (0.000, 0.878, 0.500)
Tb (0.250, 0.122, 0.332)
Tb (0.250, 0.878, 0.832)
Tb (0.500, 0.122, 0.000)
Tb (0.500, 0.878, 0.500)
Tb (0.750, 0.122, 0.332)
Tb (0.750, 0.878, 0.832)
Pm (0.000, 0.372, 0.499)
Pm (0.500, 0.628, 0.999)
Nd (0.000, 0.627, 0.999)
Nd (0.250, 0.373, 0.833)
Nd (0.250, 0.627, 0.333)
Nd (0.500, 0.373, 0.499)
Nd (0.750, 0.373, 0.833)
Nd (0.750, 0.627, 0.333)

=====

For Tb3Pm2Nd, the PBE geometry in Alexandria gives the theoretical X-ray diffraction stick pattern in this record (Cu Kα, 1.54184 Å).
Neutral-atom scattering factors, no anomalous dispersion.

Largest 10 diffraction maxima, low angle first, 2θ = 15–90°:
| two_theta | I/Imax |
| --- | --- |
| 28.0 | 47 |
| 30.1 | 83 |
| 30.7 | 98 |
| 32.2 | 100 |
| 32.4 | 55 |
| 36.5 | 35 |
| 36.7 | 26 |
| 51.9 | 38 |
| 52.9 | 28 |
| 61.1 | 28 |

Structural model:
a b c (Å): 11.849 11.849 10.391
angles (deg): 108.31 108.31 17.11
Fractional coordinates of all 12 atoms:
Tb (0.059, 0.059, 0.446)
Tb (0.195, 0.195, 0.715)
Tb (0.432, 0.432, 0.237)
Tb (0.568, 0.568, 0.763)
Tb (0.805, 0.805, 0.285)
Tb (0.941, 0.941, 0.554)
Pm (0.191, 0.191, 0.372)
Pm (0.432, 0.432, 0.860)
Pm (0.568, 0.568, 0.140)
Pm (0.809, 0.809, 0.628)
Nd (0.186, 0.186, 0.037)
Nd (0.814, 0.814, 0.963)

=====

For Tb2Pm6Nd5, the PBE geometry in Alexandria gives the theoretical X-ray diffraction stick pattern in this record (Cu Kα, 1.54184 Å).
Neutral-atom scattering factors, no anomalous dispersion.

Largest 10 diffraction maxima, low angle first, 2θ = 15–90°:
| two_theta | I/Imax |
| --- | --- |
| 30.5 | 52 |
| 30.8 | 100 |
| 31.5 | 90 |
| 33.5 | 35 |
| 34.3 | 16 |
| 35.9 | 27 |
| 49.9 | 19 |
| 55.8 | 19 |
| 59.6 | 19 |
| 59.8 | 17 |

Structural model:
a b c (Å): 11.839 20.920 3.657
angles (deg): 90.00 90.00 90.00
Fractional coordinates of all 26 atoms:
Tb (0.170, 0.211, 0.000)
Tb (0.330, 0.711, 0.000)
Tb (0.670, 0.289, 0.000)
Tb (0.830, 0.789, 0.000)
Pm (0.062, 0.920, 0.000)
Pm (0.082, 0.632, 0.000)
Pm (0.175, 0.363, 0.500)
Pm (0.325, 0.863, 0.500)
Pm (0.418, 0.132, 0.000)
Pm (0.438, 0.420, 0.000)
Pm (0.562, 0.580, 0.000)
Pm (0.582, 0.868, 0.000)
Pm (0.675, 0.137, 0.500)
Pm (0.825, 0.637, 0.500)
Pm (0.918, 0.368, 0.000)
Pm (0.938, 0.080, 0.000)
Nd (0.000, 0.500, 0.500)
Nd (0.086, 0.774, 0.500)
Nd (0.198, 0.053, 0.500)
Nd (0.302, 0.553, 0.500)
Nd (0.414, 0.274, 0.500)
Nd (0.500, 0.000, 0.500)
Nd (0.586, 0.726, 0.500)
Nd (0.698, 0.447, 0.500)
Nd (0.802, 0.947, 0.500)
Nd (0.914, 0.226, 0.500)

=====

For TbPm2Nd4, the PBE geometry in Alexandria gives the theoretical X-ray diffraction stick pattern in this record (Cu Kα, 1.54184 Å).
Neutral-atom scattering factors, no anomalous dispersion.

Largest 10 diffraction maxima, low angle first, 2θ = 15–90°:
| two_theta | I/Imax |
| --- | --- |
| 29.4 | 40 |
| 30.4 | 54 |
| 30.6 | 100 |
| 31.9 | 46 |
| 32.2 | 44 |
| 40.6 | 16 |
| 47.0 | 19 |
| 50.7 | 16 |
| 60.3 | 15 |
| 60.4 | 15 |

Structural model:
a b c (Å): 7.207 8.759 9.079
angles (deg): 114.19 101.49 101.89
Fractional coordinates of all 14 atoms:
Tb (0.000, 0.000, 0.000)
Tb (0.419, 0.267, 0.410)
Pm (0.100, 0.560, 0.840)
Pm (0.306, 0.676, 0.548)
Pm (0.498, 0.998, 0.998)
Pm (0.778, 0.844, 0.267)
Nd (0.200, 0.117, 0.684)
Nd (0.276, 0.844, 0.267)
Nd (0.391, 0.436, 0.132)
Nd (0.600, 0.559, 0.838)
Nd (0.700, 0.116, 0.683)
Nd (0.806, 0.676, 0.548)
Nd (0.891, 0.434, 0.130)
Nd (0.921, 0.267, 0.411)

=====

For Tb6PmNd6, the PBE geometry in Alexandria gives the theoretical X-ray diffraction stick pattern in this record (Cu Kα, 1.54184 Å).
Neutral-atom scattering factors, no anomalous dispersion.

Largest 10 diffraction maxima, low angle first, 2θ = 15–90°:
| two_theta | I/Imax |
| --- | --- |
| 28.5 | 78 |
| 29.7 | 93 |
| 31.3 | 30 |
| 31.6 | 30 |
| 31.9 | 39 |
| 33.8 | 100 |
| 34.6 | 31 |
| 35.7 | 22 |
| 51.3 | 21 |
| 58.4 | 24 |

Structural model:
a b c (Å): 6.646 11.330 6.647
angles (deg): 90.00 115.24 90.00
Fractional coordinates of all 13 atoms:
Tb (0.000, 0.199, 0.000)
Tb (0.000, 0.275, 0.500)
Tb (0.000, 0.725, 0.500)
Tb (0.000, 0.801, 0.000)
Tb (0.500, 0.275, 0.000)
Tb (0.500, 0.725, 0.000)
Pm (0.500, 0.500, 0.500)
Nd (0.143, 0.500, 0.859)
Nd (0.234, 0.000, 0.766)
Nd (0.500, 0.169, 0.500)
Nd (0.500, 0.831, 0.500)
Nd (0.766, 0.000, 0.234)
Nd (0.857, 0.500, 0.141)

=====

For Tb2PmNd3, the PBE geometry in Alexandria gives the theoretical X-ray diffraction stick pattern in this record (Cu Kα, 1.54184 Å).
Neutral-atom scattering factors, no anomalous dispersion.

Largest 8 diffraction maxima, low angle first, 2θ = 15–90°:
| two_theta | I/Imax |
| --- | --- |
| 30.1 | 100 |
| 34.9 | 51 |
| 50.2 | 36 |
| 59.6 | 43 |
| 62.6 | 12 |
| 73.7 | 6 |
| 81.6 | 18 |
| 84.2 | 16 |

Structural model:
a b c (Å): 6.298 6.298 12.062
angles (deg): 110.37 110.37 70.50
Fractional coordinates of all 12 atoms:
Tb (0.041, 0.291, 0.083)
Tb (0.291, 0.041, 0.583)
Tb (0.709, 0.959, 0.417)
Tb (0.959, 0.709, 0.917)
Pm (0.376, 0.624, 0.750)
Pm (0.624, 0.376, 0.250)
Nd (0.124, 0.876, 0.250)
Nd (0.208, 0.459, 0.416)
Nd (0.459, 0.208, 0.916)
Nd (0.541, 0.792, 0.084)
Nd (0.792, 0.541, 0.584)
Nd (0.876, 0.124, 0.750)

=====

For Tb3Pm7Nd, the PBE geometry in Alexandria gives the theoretical X-ray diffraction stick pattern in this record (Cu Kα, 1.54184 Å).
Neutral-atom scattering factors, no anomalous dispersion.

Largest 10 diffraction maxima, low angle first, 2θ = 15–90°:
| two_theta | I/Imax |
| --- | --- |
| 27.8 | 10 |
| 30.4 | 100 |
| 31.1 | 59 |
| 33.1 | 35 |
| 36.9 | 41 |
| 50.4 | 15 |
| 50.5 | 14 |
| 52.2 | 11 |
| 63.3 | 28 |
| 64.9 | 10 |

Structural model:
a b c (Å): 7.792 7.792 6.453
angles (deg): 94.39 94.39 81.54
Fractional coordinates of all 11 atoms:
Tb (0.000, 0.000, 0.000)
Tb (0.170, 0.830, 0.500)
Tb (0.830, 0.170, 0.500)
Pm (0.075, 0.424, 0.240)
Pm (0.236, 0.236, 0.712)
Pm (0.424, 0.075, 0.240)
Pm (0.500, 0.500, 0.500)
Pm (0.576, 0.925, 0.760)
Pm (0.764, 0.764, 0.288)
Pm (0.925, 0.576, 0.760)
Nd (0.500, 0.500, 0.000)

=====

For Tb5Pm3Nd, the PBE geometry in Alexandria gives the theoretical X-ray diffraction stick pattern in this record (Cu Kα, 1.54184 Å).
Neutral-atom scattering factors, no anomalous dispersion.

Largest 10 diffraction maxima, low angle first, 2θ = 15–90°:
| two_theta | I/Imax |
| --- | --- |
| 26.6 | 19 |
| 28.9 | 47 |
| 29.6 | 66 |
| 30.7 | 30 |
| 30.9 | 100 |
| 32.2 | 22 |
| 33.8 | 37 |
| 35.1 | 27 |
| 35.9 | 18 |
| 51.6 | 23 |

Structural model:
a b c (Å): 10.663 10.663 11.556
angles (deg): 120.37 120.37 33.41
Fractional coordinates of all 18 atoms:
Tb (0.043, 0.677, 0.358)
Tb (0.083, 0.917, 0.750)
Tb (0.116, 0.526, 0.662)
Tb (0.323, 0.957, 0.142)
Tb (0.474, 0.884, 0.838)
Tb (0.526, 0.116, 0.162)
Tb (0.677, 0.043, 0.858)
Tb (0.884, 0.474, 0.338)
Tb (0.917, 0.083, 0.250)
Tb (0.957, 0.323, 0.642)
Pm (0.099, 0.536, 0.964)
Pm (0.464, 0.901, 0.536)
Pm (0.500, 0.500, 0.000)
Pm (0.500, 0.500, 0.500)
Pm (0.536, 0.099, 0.464)
Pm (0.901, 0.464, 0.036)
Nd (0.401, 0.599, 0.250)
Nd (0.599, 0.401, 0.750)

=====

For Tb4PmNd, the PBE geometry in Alexandria gives the theoretical X-ray diffraction stick pattern in this record (Cu Kα, 1.54184 Å).
Neutral-atom scattering factors, no anomalous dispersion.

Largest 10 diffraction maxima, low angle first, 2θ = 15–90°:
| two_theta | I/Imax |
| --- | --- |
| 30.4 | 100 |
| 35.3 | 51 |
| 50.8 | 36 |
| 60.4 | 43 |
| 63.4 | 12 |
| 74.7 | 6 |
| 82.7 | 13 |
| 82.8 | 4 |
| 85.4 | 14 |
| 85.4 | 3 |

Structural model:
a b c (Å): 3.595 6.229 9.514
angles (deg): 109.09 100.86 90.08
Fractional coordinates of all 6 atoms:
Tb (0.168, 0.001, 0.336)
Tb (0.332, 0.499, 0.664)
Tb (0.668, 0.501, 0.336)
Tb (0.832, 0.999, 0.664)
Pm (0.000, 0.500, 0.000)
Nd (0.500, 0.000, 0.000)

=====

For Tb3PmNd5, the PBE geometry in Alexandria gives the theoretical X-ray diffraction stick pattern in this record (Cu Kα, 1.54184 Å).
Neutral-atom scattering factors, no anomalous dispersion.

Largest 10 diffraction maxima, low angle first, 2θ = 15–90°:
| two_theta | I/Imax |
| --- | --- |
| 26.5 | 36 |
| 28.5 | 93 |
| 29.3 | 97 |
| 30.1 | 53 |
| 30.4 | 54 |
| 31.0 | 100 |
| 32.9 | 37 |
| 33.4 | 65 |
| 34.8 | 44 |
| 35.4 | 49 |

Structural model:
a b c (Å): 10.670 10.670 11.683
angles (deg): 120.49 120.49 34.13
Fractional coordinates of all 18 atoms:
Tb (0.000, 0.000, 0.000)
Tb (0.000, 0.000, 0.500)
Tb (0.045, 0.600, 0.970)
Tb (0.400, 0.955, 0.530)
Tb (0.600, 0.045, 0.470)
Tb (0.955, 0.400, 0.030)
Pm (0.114, 0.886, 0.250)
Pm (0.886, 0.114, 0.750)
Nd (0.011, 0.630, 0.664)
Nd (0.181, 0.539, 0.347)
Nd (0.370, 0.989, 0.836)
Nd (0.403, 0.597, 0.750)
Nd (0.461, 0.819, 0.153)
Nd (0.539, 0.181, 0.847)
Nd (0.597, 0.403, 0.250)
Nd (0.630, 0.011, 0.164)
Nd (0.819, 0.461, 0.653)
Nd (0.989, 0.370, 0.336)